Record 1
This entry pairs a crystal structure of Pm5Al2Sn2 with its simulated XRD peak list. Radiation: Cu Kα, 1.54184 Å. Structure: a PBE-relaxed structure.
Peak positions follow from Bragg's law for the DFT cell and can differ from measured ones.

Top 8 peaks for 5° ≤ 2θ ≤ 70°, by angle:
hkl, 2θ/deg, Rel. int.
0 2 1, 24.2, 65
3 1 2, 29.7, 93
0 2 2, 30.8, 97
4 2 0, 31.2, 100
4 0 2, 31.4, 91
5 1 1, 32.0, 73
4 2 1, 33.1, 75
1 3 1, 34.9, 59

Structural model:
```
data_Pm5Al2Sn2
_cell_length_a 15.973
_cell_length_b 8.256
_cell_length_c 8.148
_cell_angle_alpha 90.00
_cell_angle_beta 90.00
_cell_angle_gamma 90.00
_symmetry_space_group_name_H-M 'C m c e'
_symmetry_Int_Tables_number 64
_symmetry_space_group_name_Hall '-C 2ac 2'
loop_
_atom_site_label
_atom_site_fract_x
_atom_site_fract_y
_atom_site_fract_z
Pm1 0.000 0.000 0.000
Pm2 0.138 0.180 0.324
Al1 0.000 0.114 0.615
Sn1 0.208 0.000 0.000
```

***

Record 2
This entry pairs a crystal structure of Pm6AlSn2 with its simulated XRD peak list. Radiation: Cu Kα, 1.54184 Å. Structure: a PBE-relaxed structure.
Peak positions follow from Bragg's law for the DFT cell and can differ from measured ones.

Top 8 peaks for 5° ≤ 2θ ≤ 70°, by angle:
hkl, 2θ/deg, Rel. int.
1 1 1, 29.0, 100
2 0 1, 31.5, 62
2 1 0, 32.3, 57
3 0 0, 36.8, 25
0 0 2, 40.1, 22
2 1 2, 52.4, 29
3 2 1, 58.6, 25
4 1 1, 61.5, 19

Structural model:
```
data_Pm6AlSn2
_cell_length_a 8.4615
_cell_length_b 8.4615
_cell_length_c 4.4983
_cell_angle_alpha 90.00
_cell_angle_beta 90.00
_cell_angle_gamma 120.00
_symmetry_space_group_name_H-M 'P -6 2 m'
_symmetry_Int_Tables_number 189
_symmetry_space_group_name_Hall 'P -6 -2'
loop_
_atom_site_label
_atom_site_fract_x
_atom_site_fract_y
_atom_site_fract_z
Pm1 0.0000 0.2526 0.0000
Pm2 0.0000 0.5914 0.5000
Al1 0.0000 0.0000 0.5000
Sn1 0.3333 0.6667 0.0000
```

***

Record 3
This entry pairs a crystal structure of Pm3AlSn with its simulated XRD peak list. Radiation: Cu Kα, 1.54184 Å. Structure: a PBE-relaxed structure.
Peak positions follow from Bragg's law for the DFT cell and can differ from measured ones.

Top 8 peaks for 5° ≤ 2θ ≤ 70°, by angle:
hkl, 2θ/deg, Rel. int.
0 2 1, 26.4, 46
1 0 2, 26.9, 92
1 2 1, 33.1, 100
0 2 3, 37.4, 26
2 0 0, 39.7, 28
2 2 1, 48.3, 18
1 2 4, 49.6, 19
1 4 2, 58.3, 18

Structural model:
```
data_Pm3AlSn
_cell_length_a 4.543
_cell_length_b 7.201
_cell_length_c 9.678
_cell_angle_alpha 90.00
_cell_angle_beta 90.00
_cell_angle_gamma 90.00
_symmetry_space_group_name_H-M 'P m m n'
_symmetry_Int_Tables_number 59
loop_
_symmetry_equiv_pos_as_xyz
'x,y,z'
'-x,-y,-z'
'-x+1/2,-y+1/2,z'
'x+1/2,y+1/2,-z'
'x+1/2,-y,-z'
'-x+1/2,y,z'
'-x,y+1/2,-z'
'x,-y+1/2,z'
loop_
_atom_site_label
_atom_site_fract_x
_atom_site_fract_y
_atom_site_fract_z
Pm1 0.250 0.022 0.175
Pm2 0.250 0.250 0.579
Al1 0.250 0.250 0.895
Sn1 0.250 0.750 0.645
```

***

Record 4
This entry pairs a crystal structure of SrPm3Al8 with its simulated XRD peak list. Radiation: Cu Kα, 1.54184 Å. Structure: a PBE-relaxed structure.
Peak positions follow from Bragg's law for the DFT cell and can differ from measured ones.

Top 8 peaks for 5° ≤ 2θ ≤ 70°, by angle:
hkl, 2θ/deg, Rel. int.
0 1 2, 19.1, 53
1 1 0, 31.4, 93
1 0 10, 37.0, 100
1 0 16, 55.8, 9
3 0 0, 55.9, 27
2 1 10, 59.6, 25
0 2 16, 65.4, 11
2 2 0, 65.6, 11

Structural model:
```
data_SrPm3Al8
_cell_length_a 5.6919
_cell_length_b 5.6919
_cell_length_c 27.9800
_cell_angle_alpha 90.00
_cell_angle_beta 90.00
_cell_angle_gamma 120.00
_symmetry_space_group_name_H-M 'R 3 m'
_symmetry_Int_Tables_number 160
_symmetry_space_group_name_Hall 'R 3 -2"'
loop_
_atom_site_label
_atom_site_fract_x
_atom_site_fract_y
_atom_site_fract_z
Sr1 0.0000 0.0000 0.0000
Pm1 0.0000 0.0000 0.3743
Pm2 0.0000 0.0000 0.4998
Pm3 0.0000 0.0000 0.8761
Al1 0.0000 0.0000 0.1876
Al2 0.0000 0.0000 0.6875
Al3 0.0019 0.5010 0.4391
Al4 0.1674 0.3349 0.2690
```

***

Record 5
This entry pairs a crystal structure of TbPm4Al with its simulated XRD peak list. Radiation: Cu Kα, 1.54184 Å. Structure: a PBE-relaxed structure.
Peak positions follow from Bragg's law for the DFT cell and can differ from measured ones.

Top 8 peaks for 5° ≤ 2θ ≤ 70°, by angle:
hkl, 2θ/deg, Rel. int.
1 0 2, 27.7, 17
1 0 3, 31.0, 100
1 1 0, 35.3, 38
1 1 5, 47.7, 12
2 0 0, 50.7, 13
1 1 6, 52.4, 13
1 0 8, 57.2, 14
2 1 3, 60.7, 33

Structural model:
```
data_TbPm4Al
_cell_length_a 3.599
_cell_length_b 3.599
_cell_length_c 14.414
_cell_angle_alpha 90.00
_cell_angle_beta 90.00
_cell_angle_gamma 90.00
_symmetry_space_group_name_H-M 'P 4/m m m'
_symmetry_Int_Tables_number 123
_symmetry_space_group_name_Hall '-P 4 2'
loop_
_atom_site_label
_atom_site_fract_x
_atom_site_fract_y
_atom_site_fract_z
Tb1 0.000 0.000 0.000
Pm1 0.000 0.000 0.364
Pm2 0.500 0.500 0.178
Al1 0.500 0.500 0.500
```

***

Record 6
This entry pairs a crystal structure of TbPm3Al8 with its simulated XRD peak list. Radiation: Cu Kα, 1.54184 Å. Structure: a PBE-relaxed structure.
Peak positions follow from Bragg's law for the DFT cell and can differ from measured ones.

Top 8 peaks for 5° ≤ 2θ ≤ 70°, by angle:
hkl, 2θ/deg, Rel. int.
0 1 2, 19.3, 60
1 1 0, 31.7, 99
1 0 10, 37.4, 100
1 0 16, 56.4, 10
3 0 0, 56.6, 29
2 1 10, 60.3, 25
0 2 16, 66.2, 11
2 2 0, 66.4, 11

Structural model:
```
data_TbPm3Al8
_cell_length_a 5.6321
_cell_length_b 5.6321
_cell_length_c 27.6889
_cell_angle_alpha 90.00
_cell_angle_beta 90.00
_cell_angle_gamma 120.00
_symmetry_space_group_name_H-M 'R 3 m'
_symmetry_Int_Tables_number 160
_symmetry_space_group_name_Hall 'R 3 -2"'
loop_
_atom_site_label
_atom_site_fract_x
_atom_site_fract_y
_atom_site_fract_z
Tb1 0.0000 0.0000 0.0000
Pm1 0.0000 0.0000 0.1245
Pm2 0.0000 0.0000 0.4997
Pm3 0.0000 0.0000 0.6246
Al1 0.0000 0.0000 0.3124
Al2 0.0000 0.0000 0.8120
Al3 0.9997 0.4999 0.0617
Al4 0.0005 0.5002 0.5627
```

***

Question: Which formula does entry 5 have?
Answer: TbPm4Al